The following is a simulated PXRD pattern of UTl2Se4. It was derived from the PBE geometry in Alexandria, using Cu Kα, 1.54184 Å.
Intensities are scaled so that the largest is 100.

Peak list (6 most intense, 2θ = 10–90°, low angle first)
2theta  d (Å)  I/Imax
12.86  6.882  92
25.13  3.543  86
32.86  2.726  45
33.72  2.658  100
36.47  2.464  58
39.82  2.264  41

Structural model:
```
7
Lattice="7.440 0.000 0.000 0.000 4.186 0.000 -3.359 0.000 8.177" Properties=species:S:1:pos:R:3 pbc="T T T"
U 0.000 0.000 0.000
Tl -0.525 2.093 5.666
Tl 4.607 2.093 2.511
Se -0.537 0.000 2.562
Se 1.744 2.093 0.433
Se 2.338 2.093 7.744
Se 4.619 0.000 5.615
```



The following is a simulated PXRD pattern of UTl5Se4. It was derived from the PBE geometry in Alexandria, using Cu Kα, 1.54184 Å.
Intensities are scaled so that the largest is 100.

Peak list (6 most intense, 2θ = 10–90°, low angle first)
2theta  d (Å)  I/Imax
23.41  3.800  24
25.98  3.430  45
28.37  3.146  24
29.42  3.036  100
30.94  2.890  23
42.42  2.131  22

Structural model:
```
10
Lattice="9.446 -2.131 0.000 9.446 2.131 0.000 -3.492 0.000 8.068" Properties=species:S:1:pos:R:3 pbc="T T T"
U 0.000 0.000 0.000
Tl -1.746 0.000 4.034
Tl 3.255 0.000 5.524
Tl 5.900 0.000 1.788
Tl 9.501 0.000 6.280
Tl 12.145 0.000 2.544
Se 2.846 0.000 0.375
Se 6.211 0.000 6.114
Se 9.190 0.000 1.954
Se 12.555 0.000 7.693
```



The following is a simulated PXRD pattern of ZrU2Tl3Se6. It was derived from the PBE geometry in Alexandria, using Cu Kα, 1.54184 Å.
Intensities are scaled so that the largest is 100.

Peak list (6 most intense, 2θ = 10–90°, low angle first)
2theta  d (Å)  I/Imax
26.51  3.362  23
29.53  3.025  100
39.55  2.279  41
44.83  2.022  33
54.60  1.681  18
65.65  1.422  15

Structural model:
```
12
Lattice="3.503 -6.063 0.000 3.503 6.063 0.000 -2.336 0.000 8.003" Properties=species:S:1:pos:R:3 pbc="T T T"
Zr 0.000 0.000 0.000
U 3.503 2.011 0.000
U 3.503 -2.011 0.000
Tl 2.335 3.979 4.001
Tl 2.335 0.000 4.001
Tl 2.335 -3.979 4.001
Se 1.124 1.949 1.632
Se -0.089 0.000 6.342
Se 1.124 -1.949 1.632
Se 3.546 1.949 6.371
Se 4.759 0.000 1.661
Se 3.546 -1.949 6.371
```



The following is a simulated PXRD pattern of Tl3VSe4. It was derived from the PBE geometry in Alexandria, using Cu Kα, 1.54184 Å.
Intensities are scaled so that the largest is 100.

Peak list (6 most intense, 2θ = 10–90°, low angle first)
2theta  d (Å)  I/Imax
22.57  3.940  52
27.73  3.217  43
32.13  2.786  100
39.62  2.274  28
51.90  1.762  51
57.28  1.608  30

Structural model:
```
8
Lattice="-3.940 3.940 3.940 3.940 -3.940 3.940 3.940 3.940 -3.940" Properties=species:S:1:pos:R:3 pbc="T T T"
Tl 3.940 0.000 0.000
Tl 0.000 3.940 0.000
Tl 0.000 0.000 3.940
V 0.000 0.000 0.000
Se 2.612 2.612 -2.612
Se 2.612 -2.612 2.612
Se 1.327 1.327 1.327
Se -2.612 2.612 2.612
```



The following is a simulated PXRD pattern of Tl2VSe2. It was derived from the PBE geometry in Alexandria, using Cu Kα, 1.54184 Å.
Intensities are scaled so that the largest is 100.

Peak list (6 most intense, 2θ = 10–90°, low angle first)
2theta  d (Å)  I/Imax
26.90  3.314  25
30.60  2.922  40
31.02  2.883  25
33.91  2.643  100
56.54  1.628  23
59.66  1.550  29

Structural model:
```
10
Lattice="6.628 0.000 0.000 0.000 6.628 0.000 0.000 0.000 5.843" Properties=species:S:1:pos:R:3 pbc="T T T"
Tl 1.219 2.095 0.000
Tl 2.095 5.408 0.000
Tl 4.533 1.219 0.000
Tl 5.408 4.533 0.000
V 0.000 0.000 2.922
V 3.314 3.314 2.922
Se 1.079 4.393 2.922
Se 2.235 1.079 2.922
Se 4.393 5.549 2.922
Se 5.549 2.235 2.922
```



The following is a simulated PXRD pattern of Tl3VSe4. It was derived from the PBE geometry in Alexandria, using Cu Kα, 1.54184 Å.
Intensities are scaled so that the largest is 100.

Peak list (6 most intense, 2θ = 10–90°, low angle first)
2theta  d (Å)  I/Imax
21.48  4.137  100
23.31  3.816  48
27.36  3.260  92
32.23  2.778  52
34.59  2.593  44
35.05  2.560  52

Structural model:
```
16
Lattice="9.210 0.000 0.000 0.000 9.412 0.000 0.000 0.000 6.519" Properties=species:S:1:pos:R:3 pbc="T T T"
Tl 0.000 1.061 0.000
Tl 1.864 3.150 3.196
Tl 2.742 6.261 6.455
Tl 4.605 8.351 3.260
Tl 6.469 6.261 6.455
Tl 7.347 3.150 3.196
V 0.000 7.480 4.121
V 4.605 1.932 0.861
Se 0.000 0.276 3.512
Se 0.000 7.433 6.435
Se 1.935 6.413 3.445
Se 2.670 2.999 0.185
Se 4.605 1.979 3.175
Se 4.605 9.136 0.252
Se 6.540 2.999 0.185
Se 7.275 6.413 3.445
```